No. 1
Theoretical PXRD pattern
Compound: LuPaFeCu
Radiation: copper Kα
Structure: a cell relaxed with PBE

Peak list (8 most intense, 15° ≤ 2θ ≤ 90°, low angle first)
| 2θ/deg | intensity |
| --- | --- |
| 26.62 | 32.5 |
| 38.00 | 100.0 |
| 47.00 | 10.0 |
| 54.84 | 17.3 |
| 61.97 | 13.8 |
| 68.66 | 34.9 |
| 81.27 | 11.0 |
| 87.37 | 7.4 |

Structural model:
abc: 6.6967 6.6967 6.6967
angles: 90.00 90.00 90.00
Space group F-43m (No. 216)
One atom of each set of equivalent atoms:
Lu  0.0000  0.0000  0.0000 x4
Pa  0.0000  0.0000  0.5000 x4
Fe  0.2500  0.2500  0.2500 x4
Cu  0.2500  0.2500  0.7500 x4

No. 2
Theoretical PXRD pattern
Compound: MgFeCu2
Radiation: copper Kα
Structure: a cell relaxed with PBE

Peak list (8 most intense, 15° ≤ 2θ ≤ 90°, low angle first)
| 2θ/deg | intensity |
| --- | --- |
| 41.35 | 100.0 |
| 46.90 | 35.3 |
| 50.48 | 19.7 |
| 68.49 | 10.3 |
| 71.38 | 15.6 |
| 83.26 | 22.2 |
| 88.70 | 6.9 |
| 89.83 | 10.9 |

Structural model:
abc: 2.7399 2.7399 7.2284
angles: 90.00 90.00 90.00
Space group P4/mmm (No. 123)
One atom of each set of equivalent atoms:
Mg  0.0000  0.0000  0.0000 x1
Fe  0.0000  0.0000  0.5000 x1
Cu  0.5000  0.5000  0.2695 x2

No. 3
Theoretical PXRD pattern
Compound: Mg2FeCuMo
Radiation: copper Kα
Structure: a cell relaxed with PBE

Peak list (8 most intense, 15° ≤ 2θ ≤ 90°, low angle first)
| 2θ/deg | intensity |
| --- | --- |
| 26.78 | 100.0 |
| 27.88 | 45.9 |
| 33.87 | 89.3 |
| 38.23 | 96.2 |
| 41.39 | 38.1 |
| 49.99 | 33.7 |
| 55.17 | 31.3 |
| 57.61 | 54.5 |

Structural model:
abc: 4.7085 4.7085 4.3628
angles: 90.00 90.00 90.00
Space group P4/mmm (No. 123)
One atom of each set of equivalent atoms:
Mg  0.0000  0.5000  0.0000 x2
Fe  0.0000  0.0000  0.0000 x1
Cu  0.0000  0.0000  0.5000 x1
Mo  0.5000  0.5000  0.5000 x1